The following is a calculated X-ray powder pattern of Na3Al6Au5. It was derived from a cell relaxed with GGA-PBE, using Cu Kα (λ = 1.5418 Å).
Neutral-atom scattering factors, no anomalous dispersion.

Largest 10 diffraction maxima, by angle, 10° ≤ 2θ ≤ 80°:
- 22.51 deg, intensity 100.0, (1 0 1)
- 23.53 deg, intensity 40.8, (1 1 1)
- 27.90 deg, intensity 58.1, (0 3 2)
- 28.37 deg, intensity 34.7, (0 0 3)
- 29.02 deg, intensity 23.7, (1 3 0)
- 30.58 deg, intensity 46.9, (1 3 1)
- 34.83 deg, intensity 47.2, (1 3 2)
- 41.52 deg, intensity 61.1, (2 0 0)
- 45.15 deg, intensity 27.0, (1 4 3)
- 50.78 deg, intensity 33.5, (2 3 2)

Cell and atoms:
```
data_Na3Al6Au5
_chemical_formula_sum 'Na6 Al12 Au10'
_cell_length_a 4.351
_cell_length_b 13.036
_cell_length_c 9.439
_cell_angle_alpha 90.00
_cell_angle_beta 90.00
_cell_angle_gamma 90.00
_symmetry_space_group_name_H-M 'P m m n'
_symmetry_Int_Tables_number 59
loop_
_symmetry_equiv_pos_as_xyz
'x,y,z'
'-x,-y,-z'
'-x+1/2,-y+1/2,z'
'x+1/2,y+1/2,-z'
'x+1/2,-y,-z'
'-x+1/2,y,z'
'-x,y+1/2,-z'
'x,-y+1/2,z'
loop_
_atom_site_label
_atom_site_fract_x
_atom_site_fract_y
_atom_site_fract_z
Na1 0.250 0.050 0.248
Na2 0.250 0.750 0.260
Al1 0.250 0.068 0.585
Al2 0.250 0.250 0.036
Al3 0.250 0.250 0.405
Al4 0.250 0.594 0.986
Au1 0.250 0.092 0.864
Au2 0.250 0.632 0.538
Au3 0.250 0.750 0.807
```

=====

The following is a calculated X-ray powder pattern of TbPrAs2O8. It was derived from a cell relaxed with GGA-PBE, using Cu Kα (λ = 1.5418 Å).
Neutral-atom scattering factors, no anomalous dispersion.

Largest 10 diffraction maxima, by angle, 10° ≤ 2θ ≤ 80°:
- 18.91 deg, intensity 10.6, (1 0 1)
- 29.02 deg, intensity 100.0, (1 1 2)
- 30.79 deg, intensity 16.7, (0 0 4)
- 34.97 deg, intensity 20.6, (2 0 0)
- 47.27 deg, intensity 29.2, (2 0 4)
- 50.29 deg, intensity 12.0, (2 2 0)
- 53.66 deg, intensity 17.8, (1 1 6)
- 59.11 deg, intensity 28.0, (1 3 2)
- 60.13 deg, intensity 12.2, (2 2 4)
- 76.61 deg, intensity 12.6, (3 1 6)

Cell and atoms:
```
data_TbPrAs2O8
_chemical_formula_sum 'Tb2 Pr2 As4 O16'
_cell_length_a 5.132
_cell_length_b 5.132
_cell_length_c 11.616
_cell_angle_alpha 90.00
_cell_angle_beta 90.00
_cell_angle_gamma 90.00
_symmetry_space_group_name_H-M 'I -4'
_symmetry_Int_Tables_number 82
_symmetry_space_group_name_Hall 'I -4'
loop_
_atom_site_label
_atom_site_fract_x
_atom_site_fract_y
_atom_site_fract_z
Tb1 0.000 0.000 0.000
Pr1 0.000 0.500 0.250
As1 0.000 0.000 0.500
As2 0.000 0.500 0.750
O1 0.136 0.750 0.830
O2 0.148 0.249 0.424
```